Calculated PXRD pattern
Compound: BaSrLaBiO6
Radiation: Cu Kα X-rays
Structure: a DFT-relaxed cell (PBE, the Materials Project)
Neutral-atom scattering factors, no anomalous dispersion.

Most intense lines, 15° ≤ 2θ ≤ 90°, by intensity:
28.66 deg, 3.115 Å, intensity 100; 28.96 deg, 3.084 Å, intensity 59; 51.14 deg, 1.786 Å, intensity 48; 41.41 deg, 2.180 Å, intensity 26; 50.59 deg, 1.804 Å, intensity 26; 17.50 deg, 5.069 Å, intensity 20; 59.34 deg, 1.557 Å, intensity 18; 40.55 deg, 2.225 Å, intensity 15

Atomic structure:
Cell: 6.2304 6.2304 6.2304 Å, 120.67 120.67 88.84°
Element x y z (fractional)
Ba 0.0000 0.0000 0.0000
Sr 0.2500 0.7500 0.5000
La 0.5000 0.5000 0.0000
Bi 0.7500 0.2500 0.5000
O 0.0936 0.4242 0.9606
O 0.4636 0.1330 0.0394
O 0.5125 0.0125 0.5000
O 0.5758 0.5364 0.6694
O 0.8670 0.9064 0.3306
O 0.9875 0.4875 0.5000



Calculated PXRD pattern
Compound: BaSrLaBiO6
Radiation: Cu Kα X-rays
Structure: a DFT-relaxed cell (PBE, the Materials Project)
Neutral-atom scattering factors, no anomalous dispersion.

Most intense lines, 15° ≤ 2θ ≤ 90°, by intensity:
28.65 deg, 3.115 Å, intensity 100; 28.77 deg, 3.103 Å, intensity 99; 41.06 deg, 2.198 Å, intensity 76; 28.53 deg, 3.128 Å, intensity 48; 28.90 deg, 3.089 Å, intensity 48; 50.61 deg, 1.803 Å, intensity 29; 20.20 deg, 4.397 Å, intensity 29; 50.82 deg, 1.797 Å, intensity 23

Atomic structure:
Cell: 6.1787 6.2563 8.7959 Å, 90.14 90.33 90.06°
Element x y z (fractional)
Ba 0.0071 0.0330 0.2503
Ba 0.9929 0.9670 0.7497
Sr 0.4907 0.5377 0.2515
Sr 0.5093 0.4623 0.7485
La 0.0000 0.5000 0.5000
La 0.5000 0.0000 0.0000
Bi 0.0000 0.5000 0.0000
Bi 0.5000 0.0000 0.5000
O 0.0974 0.5155 0.7641
O 0.1978 0.7759 0.0437
O 0.2221 0.8005 0.4648
O 0.2782 0.3041 0.0524
O 0.3104 0.2822 0.4482
O 0.4260 0.0467 0.7367
O 0.5740 0.9533 0.2633
O 0.6896 0.7178 0.5518
O 0.7218 0.6959 0.9476
O 0.7779 0.1995 0.5352
O 0.8022 0.2241 0.9563
O 0.9026 0.4845 0.2359



Calculated PXRD pattern
Compound: BaSrLaBiO6
Radiation: Cu Kα X-rays
Structure: a DFT-relaxed cell (PBE, the Materials Project)
Neutral-atom scattering factors, no anomalous dispersion.

Most intense lines, 15° ≤ 2θ ≤ 90°, by intensity:
28.59 deg, 3.122 Å, intensity 100; 50.64 deg, 1.803 Å, intensity 42; 40.87 deg, 2.208 Å, intensity 30; 81.57 deg, 1.180 Å, intensity 22; 59.18 deg, 1.561 Å, intensity 19; 67.02 deg, 1.396 Å, intensity 19; 17.39 deg, 5.099 Å, intensity 12; 74.43 deg, 1.275 Å, intensity 6

Atomic structure:
Cell: 6.2447 6.2447 6.2447 Å, 60.00 60.00 60.00°
Element x y z (fractional)
Ba 0.0000 0.0000 0.0000
Sr 0.7500 0.7500 0.7500
La 0.5000 0.5000 0.5000
Bi 0.2500 0.2500 0.2500
O 0.0127 0.0127 0.4873
O 0.0127 0.4873 0.0127
O 0.0127 0.4873 0.4873
O 0.4873 0.0127 0.0127
O 0.4873 0.0127 0.4873
O 0.4873 0.4873 0.0127



Calculated PXRD pattern
Compound: BaSrLaBiO6
Radiation: Cu Kα X-rays
Structure: a DFT-relaxed cell (PBE, the Materials Project)
Neutral-atom scattering factors, no anomalous dispersion.

Most intense lines, 15° ≤ 2θ ≤ 90°, by intensity:
28.63 deg, 3.118 Å, intensity 100; 50.66 deg, 1.802 Å, intensity 31; 40.86 deg, 2.209 Å, intensity 17; 50.80 deg, 1.797 Å, intensity 16; 17.42 deg, 5.092 Å, intensity 12; 81.59 deg, 1.180 Å, intensity 12; 59.32 deg, 1.558 Å, intensity 10; 41.07 deg, 2.198 Å, intensity 8

Atomic structure:
Cell: 8.7913 8.8249 8.8437 Å, 90.00 90.00 90.00°
Element x y z (fractional)
Ba 0.2500 0.2500 0.2500
Ba 0.2500 0.7500 0.2500
Ba 0.7500 0.2500 0.7500
Ba 0.7500 0.7500 0.7500
Sr 0.0000 0.0000 0.0000
Sr 0.0000 0.5000 0.5000
Sr 0.5000 0.0000 0.5000
Sr 0.5000 0.5000 0.0000
La 0.2500 0.2500 0.7500
La 0.2500 0.7500 0.7500
La 0.7500 0.2500 0.2500
La 0.7500 0.7500 0.2500
Bi 0.0000 0.0000 0.5000
Bi 0.0000 0.5000 0.0000
Bi 0.5000 0.0000 0.0000
Bi 0.5000 0.5000 0.5000
O 0.0485 0.0656 0.7315
O 0.0485 0.4344 0.7685
O 0.0556 0.7310 0.9404
O 0.0556 0.7690 0.5596
O 0.2323 0.0361 0.4593
O 0.2323 0.4639 0.0407
O 0.2677 0.0361 0.0407
O 0.2677 0.4639 0.4593
O 0.4444 0.7310 0.5596
O 0.4444 0.7690 0.9404
O 0.4515 0.0656 0.7685
O 0.4515 0.4344 0.7315
O 0.5485 0.5656 0.2685
O 0.5485 0.9344 0.2315
O 0.5556 0.2310 0.0596
O 0.5556 0.2690 0.4404
O 0.7323 0.5361 0.5407
O 0.7323 0.9639 0.9593
O 0.7677 0.5361 0.9593
O 0.7677 0.9639 0.5407
O 0.9444 0.2310 0.4404
O 0.9444 0.2690 0.0596
O 0.9515 0.5656 0.2315
O 0.9515 0.9344 0.2685



Calculated PXRD pattern
Compound: Ba3Li4Bi4
Radiation: Cu Kα X-rays
Structure: a DFT-relaxed cell (PBE, the Materials Project)
Neutral-atom scattering factors, no anomalous dispersion.

Most intense lines, 15° ≤ 2θ ≤ 90°, by intensity:
29.66 deg, 3.012 Å, intensity 100; 29.06 deg, 3.073 Å, intensity 88; 23.43 deg, 3.797 Å, intensity 75; 34.80 deg, 2.578 Å, intensity 41; 25.01 deg, 3.561 Å, intensity 38; 39.33 deg, 2.291 Å, intensity 36; 20.60 deg, 4.311 Å, intensity 33; 57.10 deg, 1.613 Å, intensity 29

Atomic structure:
Cell: 9.6437 9.6437 9.6437 Å, 148.99 131.91 58.33°
Element x y z (fractional)
Ba 0.0000 0.0000 0.0000
Ba 0.3686 0.8686 0.5000
Ba 0.6314 0.1314 0.5000
Li 0.0199 0.3250 0.6948
Li 0.3698 0.6750 0.6948
Li 0.6302 0.3250 0.3052
Li 0.9801 0.6750 0.3052
Bi 0.2135 0.2135 0.0000
Bi 0.3073 0.5000 0.8073
Bi 0.6927 0.5000 0.1927
Bi 0.7865 0.7865 0.0000



Calculated PXRD pattern
Compound: BaLiNbBiO6
Radiation: Cu Kα X-rays
Structure: a DFT-relaxed cell (PBE, the Materials Project)
Neutral-atom scattering factors, no anomalous dispersion.

Most intense lines, 15° ≤ 2θ ≤ 90°, by intensity:
29.83 deg, 2.995 Å, intensity 100; 52.95 deg, 1.729 Å, intensity 41; 18.14 deg, 4.891 Å, intensity 34; 42.69 deg, 2.118 Å, intensity 32; 20.97 deg, 4.236 Å, intensity 29; 35.13 deg, 2.554 Å, intensity 23; 85.84 deg, 1.132 Å, intensity 23; 61.96 deg, 1.498 Å, intensity 20

Atomic structure:
Cell: 5.9905 5.9905 5.9905 Å, 60.00 60.00 60.00°
Element x y z (fractional)
Ba 0.0000 0.0000 0.0000
Li 0.5000 0.5000 0.5000
Nb 0.7500 0.7500 0.7500
Bi 0.2500 0.2500 0.2500
O 0.5130 0.5130 0.9870
O 0.5130 0.9870 0.5130
O 0.5130 0.9870 0.9870
O 0.9870 0.5130 0.5130
O 0.9870 0.5130 0.9870
O 0.9870 0.9870 0.5130



Calculated PXRD pattern
Compound: BaLiZrBiO6
Radiation: Cu Kα X-rays
Structure: a DFT-relaxed cell (PBE, the Materials Project)
Neutral-atom scattering factors, no anomalous dispersion.

Most intense lines, 15° ≤ 2θ ≤ 90°, by intensity:
29.98 deg, 2.981 Å, intensity 100; 53.22 deg, 1.721 Å, intensity 42; 18.22 deg, 4.868 Å, intensity 38; 42.91 deg, 2.108 Å, intensity 33; 21.07 deg, 4.216 Å, intensity 29; 35.31 deg, 2.542 Å, intensity 23; 86.35 deg, 1.127 Å, intensity 23; 62.29 deg, 1.491 Å, intensity 21

Atomic structure:
Cell: 5.9620 5.9620 5.9620 Å, 60.00 60.00 60.00°
Element x y z (fractional)
Ba 0.0000 0.0000 0.0000
Li 0.5000 0.5000 0.5000
Zr 0.7500 0.7500 0.7500
Bi 0.2500 0.2500 0.2500
O 0.5011 0.5011 0.9989
O 0.5011 0.9989 0.5011
O 0.5011 0.9989 0.9989
O 0.9989 0.5011 0.5011
O 0.9989 0.5011 0.9989
O 0.9989 0.9989 0.5011



Calculated PXRD pattern
Compound: Ba2LuMgBiO6
Radiation: Cu Kα X-rays
Structure: a DFT-relaxed cell (PBE, the Materials Project)
Neutral-atom scattering factors, no anomalous dispersion.

Most intense lines, 15° ≤ 2θ ≤ 90°, by intensity:
28.29 deg, 3.155 Å, intensity 100; 28.71 deg, 3.109 Å, intensity 90; 25.72 deg, 3.463 Å, intensity 39; 26.49 deg, 3.365 Å, intensity 33; 39.94 deg, 2.257 Å, intensity 28; 50.58 deg, 1.804 Å, intensity 23; 41.58 deg, 2.172 Å, intensity 22; 18.36 deg, 4.832 Å, intensity 21

Atomic structure:
Cell: 6.2639 6.2762 6.3131 Å, 119.53 92.27 112.67°
Element x y z (fractional)
Ba 0.1318 0.3925 0.1912
Ba 0.8682 0.6075 0.8088
Lu 0.0000 0.0000 0.5000
Mg 0.5000 0.0000 0.5000
Bi 0.5000 0.0000 0.0000
O 0.2144 0.4713 0.8171
O 0.2357 0.8943 0.6514
O 0.2642 0.0383 0.2849
O 0.7358 0.9617 0.7151
O 0.7643 0.1057 0.3486
O 0.7856 0.5287 0.1829



Calculated PXRD pattern
Compound: Ba4Sr2Lu3Bi3O18
Radiation: Cu Kα X-rays
Structure: a DFT-relaxed cell (PBE, the Materials Project)
Neutral-atom scattering factors, no anomalous dispersion.

Most intense lines, 15° ≤ 2θ ≤ 90°, by intensity:
29.58 deg, 3.020 Å, intensity 100; 42.19 deg, 2.142 Å, intensity 22; 52.45 deg, 1.744 Å, intensity 21; 29.41 deg, 3.037 Å, intensity 19; 52.28 deg, 1.750 Å, intensity 18; 61.39 deg, 1.510 Å, intensity 17; 52.57 deg, 1.741 Å, intensity 13; 42.46 deg, 2.129 Å, intensity 10

Atomic structure:
Cell: 6.0441 6.0441 14.8200 Å, 90.43 90.43 60.00°
Element x y z (fractional)
Ba 0.0000 0.0000 0.0000
Ba 0.0018 0.0018 0.4972
Ba 0.3348 0.3348 0.1651
Ba 0.6688 0.6688 0.8291
Sr 0.3300 0.3300 0.6700
Sr 0.6635 0.6635 0.3353
Lu 0.0006 0.0006 0.7464
Lu 0.3336 0.3336 0.4158
Lu 0.6667 0.6667 0.0832
Bi 0.0004 0.0004 0.2500
Bi 0.3334 0.3334 0.9140
Bi 0.6663 0.6663 0.5809
O 0.0234 0.5222 0.0072
O 0.1481 0.1481 0.8526
O 0.1513 0.6350 0.8174
O 0.1852 0.1852 0.3112
O 0.2007 0.6913 0.3417
O 0.3063 0.8137 0.1555
O 0.3592 0.8673 0.6733
O 0.4747 0.4747 0.5275
O 0.4840 0.9648 0.4836
O 0.5173 0.5173 0.9776
O 0.5222 0.0234 0.0072
O 0.6350 0.1513 0.8174
O 0.6913 0.2007 0.3417
O 0.8104 0.8104 0.1932
O 0.8137 0.3063 0.1555
O 0.8510 0.8510 0.6434
O 0.8673 0.3592 0.6733
O 0.9648 0.4840 0.4836